This entry pairs a crystal structure of Co3P2O8 with its computed powder XRD pattern. Radiation: Cu Kα (λ = 1.5418 Å). Structure: a GGA+U-relaxed structure.

Cell and atoms:
```
Co3P2O8
1.0
6.007 0.000 0.000
0.000 4.801 0.000
-0.109 0.000 10.379
Co P O
6 4 16
Direct
0.000 0.000 0.000
0.000 0.500 0.500
0.263 0.015 0.724
0.263 0.485 0.224
0.737 0.515 0.776
0.737 0.985 0.276
0.242 0.572 0.902
0.242 0.928 0.402
0.758 0.072 0.598
0.758 0.428 0.098
0.031 0.725 0.840
0.031 0.775 0.340
0.224 0.249 0.396
0.224 0.251 0.896
0.248 0.685 0.042
0.248 0.815 0.542
0.436 0.684 0.819
0.436 0.816 0.319
0.564 0.184 0.681
0.564 0.316 0.181
0.752 0.185 0.458
0.752 0.315 0.958
0.776 0.749 0.104
0.776 0.751 0.604
0.969 0.225 0.660
0.969 0.275 0.160
```

Largest 8 diffraction maxima, most intense first, 2θ = 5–70°:
2θ/deg, intensity
25.30, 100
35.18, 75
22.76, 53
31.88, 50
51.93, 41
36.25, 38
14.75, 33
29.75, 26